(1)
Theoretical powder XRD pattern
Compound: Ba2CoCl
Radiation: Cu Kα (λ = 1.5418 Å)
Structure: a cell relaxed with PBE

Most intense lines, 5 to 70 degrees two-theta, low angle first:
| two_theta | intensity |
| --- | --- |
| 22.75 | 37 |
| 23.47 | 16 |
| 29.30 | 100 |
| 29.59 | 43 |
| 34.99 | 29 |
| 36.21 | 42 |
| 46.46 | 24 |
| 47.43 | 30 |
| 55.16 | 14 |
| 67.01 | 16 |

Structural model:
Cell lengths 5.1292, 6.3591, 6.3591 Å; angles 36.59, 90.00, 90.00 degrees
Fractional coordinates of all 4 atoms:
Ba: 0.0000 0.0000 0.0000
Ba: 0.5000 0.2623 0.2623
Co: 0.0000 0.7720 0.7720
Cl: 0.5000 0.5270 0.5270

(2)
Theoretical powder XRD pattern
Compound: Ba2CoCl
Radiation: Cu Kα (λ = 1.5418 Å)
Structure: a cell relaxed with PBE

Most intense lines, 5 to 70 degrees two-theta, low angle first:
| two_theta | intensity |
| --- | --- |
| 23.98 | 55 |
| 27.39 | 100 |
| 28.50 | 45 |
| 39.06 | 19 |
| 39.18 | 19 |
| 39.94 | 71 |
| 46.41 | 20 |
| 49.11 | 38 |
| 64.50 | 17 |
| 66.23 | 15 |

Structural model:
Cell lengths 4.5988, 4.6123, 6.2630 Å; angles 90.00, 90.00, 90.00 degrees
Fractional coordinates of all 4 atoms:
Ba: 0.0000 0.0000 0.0000
Ba: 0.5000 0.5000 0.5000
Co: 0.0000 0.0000 0.5000
Cl: 0.5000 0.5000 0.0000

(3)
Theoretical powder XRD pattern
Compound: BaCo2Cl6
Radiation: Cu Kα (λ = 1.5418 Å)
Structure: a cell relaxed with PBE

Most intense lines, 5 to 70 degrees two-theta, low angle first:
| two_theta | intensity |
| --- | --- |
| 14.70 | 55 |
| 18.52 | 86 |
| 19.96 | 39 |
| 21.29 | 100 |
| 21.76 | 81 |
| 26.67 | 53 |
| 29.96 | 31 |
| 31.27 | 46 |
| 32.34 | 66 |
| 41.24 | 58 |

Structural model:
Cell lengths 9.2276, 9.2276, 7.0337 Å; angles 104.97, 104.97, 82.77 degrees
Fractional coordinates of all 18 atoms:
Ba: 0.1545 0.8455 0.7500
Ba: 0.8455 0.1545 0.2500
Co: 0.2345 0.3693 0.7882
Co: 0.3693 0.2345 0.2882
Co: 0.6307 0.7655 0.7118
Co: 0.7655 0.6307 0.2118
Cl: 0.0713 0.1839 0.6691
Cl: 0.1415 0.5898 0.9417
Cl: 0.1839 0.0713 0.1691
Cl: 0.2917 0.4292 0.5200
Cl: 0.4102 0.8585 0.5583
Cl: 0.4292 0.2917 0.0200
Cl: 0.5708 0.7083 0.9800
Cl: 0.5898 0.1415 0.4417
Cl: 0.7083 0.5708 0.4800
Cl: 0.8161 0.9287 0.8309
Cl: 0.8585 0.4102 0.0583
Cl: 0.9287 0.8161 0.3309

(4)
Theoretical powder XRD pattern
Compound: BaCo3Cl12
Radiation: Cu Kα (λ = 1.5418 Å)
Structure: a cell relaxed with PBE

Most intense lines, 5 to 70 degrees two-theta, low angle first:
| two_theta | intensity |
| --- | --- |
| 10.48 | 100 |
| 13.81 | 15 |
| 15.58 | 25 |
| 17.62 | 46 |
| 21.04 | 17 |
| 22.26 | 29 |
| 27.54 | 18 |
| 31.79 | 15 |
| 31.90 | 15 |
| 32.16 | 28 |

Structural model:
Cell lengths 13.0892, 13.0892, 13.0892 Å; angles 50.77, 50.77, 50.77 degrees
Fractional coordinates of all 32 atoms:
Ba: 0.0000 0.0000 0.0000
Ba: 0.5000 0.5000 0.5000
Co: 0.1517 0.7894 0.3933
Co: 0.2894 0.6517 0.8933
Co: 0.3933 0.1517 0.7894
Co: 0.6517 0.8933 0.2894
Co: 0.7894 0.3933 0.1517
Co: 0.8933 0.2894 0.6517
Cl: 0.0362 0.0639 0.6982
Cl: 0.0639 0.6982 0.0362
Cl: 0.1810 0.8170 0.1950
Cl: 0.1950 0.1810 0.8170
Cl: 0.1982 0.5639 0.5362
Cl: 0.3161 0.8343 0.3441
Cl: 0.3170 0.6810 0.6950
Cl: 0.3343 0.8161 0.8441
Cl: 0.3441 0.3161 0.8343
Cl: 0.4194 0.4444 0.9947
Cl: 0.4444 0.9947 0.4194
Cl: 0.4947 0.9444 0.9194
Cl: 0.5362 0.1982 0.5639
Cl: 0.5639 0.5362 0.1982
Cl: 0.6810 0.6950 0.3170
Cl: 0.6950 0.3170 0.6810
Cl: 0.6982 0.0362 0.0639
Cl: 0.8161 0.8441 0.3343
Cl: 0.8170 0.1950 0.1810
Cl: 0.8343 0.3441 0.3161
Cl: 0.8441 0.3343 0.8161
Cl: 0.9194 0.4947 0.9444
Cl: 0.9444 0.9194 0.4947
Cl: 0.9947 0.4194 0.4444